Entry 1:
For CeZn2Ni, DFT lattice parameters and positions (PBE) gives the simulated XRD peak list in this record (a wavelength of 1.5418 Å).
Neutral-atom scattering factors, no anomalous dispersion.

Structure:
a = 3.8644 Å, b = 3.8644 Å, c = 4.9193 Å
α = 90.00°, β = 90.00°, γ = 90.00°
Space group P4/mmm (No. 123)
One atom of each set of equivalent atoms:
1 Ce 0.0000 0.0000 0.0000 (multiplicity 1)
2 Zn 0.0000 0.5000 0.5000 (multiplicity 2)
3 Ni 0.5000 0.5000 0.0000 (multiplicity 1)

Largest 10 diffraction maxima, sorted by position, 15 to 90 degrees two-theta:
23.0 deg, I = 8, (1 0 0); 29.4 deg, I = 9, (1 0 1); 36.5 deg, I = 27, (0 0 2); 37.7 deg, I = 100, (1 1 1); 47.0 deg, I = 26, (2 0 0); 61.0 deg, I = 23, (2 0 2); 66.5 deg, I = 18, (1 1 3); 68.7 deg, I = 8, (2 2 0); 80.4 deg, I = 10, (2 2 2); 81.1 deg, I = 20, (3 1 1)



Entry 2:
For Ce2Zn2Ni5, DFT lattice parameters and positions (PBE) gives the simulated XRD peak list in this record (a wavelength of 1.5418 Å).
Neutral-atom scattering factors, no anomalous dispersion.

Structure:
a = 5.0351 Å, b = 5.0351 Å, c = 37.3050 Å
α = 90.00°, β = 90.00°, γ = 120.00°
Space group R-3m (No. 166, hexagonal axes)
One atom of each set of equivalent atoms:
1 Ce 0.0000 0.0000 0.0570 (multiplicity 6)
2 Ce 0.0000 0.0000 0.1457 (multiplicity 6)
3 Zn 0.0000 0.0000 0.5000 (multiplicity 3)
4 Zn 0.0000 0.5000 0.0000 (multiplicity 9)
5 Ni 0.0000 0.0000 0.2769 (multiplicity 6)
6 Ni 0.0000 0.0000 0.3894 (multiplicity 6)
7 Ni 0.0012 0.5006 0.8898 (multiplicity 18)

Largest 10 diffraction maxima, sorted by position, 15 to 90 degrees two-theta:
31.6 deg, I = 33, (1 0 10); 33.5 deg, I = 27, (0 1 11); 35.7 deg, I = 45, (1 1 0); 39.6 deg, I = 14, (0 1 14); 41.5 deg, I = 35, (0 2 1); 42.0 deg, I = 100, (1 1 9); 43.7 deg, I = 18, (0 0 18); 46.0 deg, I = 15, (2 0 8); 68.4 deg, I = 22, (3 0 9); 75.5 deg, I = 22, (2 2 0)



Entry 3:
For Ce2O3, DFT lattice parameters and positions (PBE) gives the simulated XRD peak list in this record (a wavelength of 1.5418 Å).
Neutral-atom scattering factors, no anomalous dispersion.

Structure:
a = 3.8311 Å, b = 3.8311 Å, c = 6.0710 Å
α = 90.00°, β = 90.00°, γ = 120.00°
Space group P-3m1 (No. 164)
One atom of each set of equivalent atoms:
1 Ce 0.3333 0.6667 0.2541 (multiplicity 2)
2 O 0.0000 0.0000 0.5000 (multiplicity 1)
3 O 0.3333 0.6667 0.8574 (multiplicity 2)

Largest 10 diffraction maxima, sorted by position, 15 to 90 degrees two-theta:
26.9 deg, I = 29, (1 0 0); 29.4 deg, I = 28, (0 0 2); 30.7 deg, I = 100, (1 0 1); 40.3 deg, I = 27, (1 0 2); 47.5 deg, I = 32, (1 1 0); 53.0 deg, I = 28, (0 1 3); 56.8 deg, I = 27, (1 1 2); 57.6 deg, I = 17, (0 2 1); 73.9 deg, I = 10, (2 0 3); 77.8 deg, I = 15, (2 1 1)



Entry 4:
For Ce2O3, DFT lattice parameters and positions (PBE) gives the simulated XRD peak list in this record (a wavelength of 1.5418 Å).
Neutral-atom scattering factors, no anomalous dispersion.

Structure:
a = 11.1056 Å, b = 11.1056 Å, c = 11.1056 Å
α = 90.00°, β = 90.00°, γ = 90.00°
Space group Ia-3 (No. 206)
One atom of each set of equivalent atoms:
1 Ce 0.0000 0.2500 0.4786 (multiplicity 24)
2 Ce 0.2500 0.2500 0.2500 (multiplicity 8)
3 O 0.1131 0.1454 0.6223 (multiplicity 48)

Largest 10 diffraction maxima, sorted by position, 15 to 90 degrees two-theta:
19.6 deg, I = 5, (2 1 1); 27.8 deg, I = 100, (2 2 2); 32.2 deg, I = 34, (4 0 0); 46.2 deg, I = 45, (4 4 0); 54.8 deg, I = 39, (6 2 2); 57.5 deg, I = 8, (4 4 4); 67.5 deg, I = 6, (8 0 0); 74.5 deg, I = 13, (6 6 2); 76.8 deg, I = 10, (8 4 0); 85.7 deg, I = 10, (8 4 4)